Entry 1:
Te6MoBr3: theoretical X-ray diffraction stick pattern (Cu Kα, 1.54184 Å), based on a GGA-PBE-relaxed structure.

Structural model:
```
data_Te6MoBr3
_chemical_formula_sum 'Te24 Mo4 Br12'
_cell_length_a 8.9465
_cell_length_b 12.1480
_cell_length_c 14.6971
_cell_angle_alpha 81.36
_cell_angle_beta 83.35
_cell_angle_gamma 74.70
_space_group_name_H-M_alt 'P -1'
_space_group_IT_number 2
loop_
_space_group_symop_operation_xyz
'x,y,z'
'-x,-y,-z'
loop_
_atom_site_label
_atom_site_fract_x
_atom_site_fract_y
_atom_site_fract_z
Te1 0.0531 0.3091 0.0528
Te2 0.0683 0.2534 0.7930
Te3 0.1506 0.9824 0.1223
Te4 0.1697 0.9286 0.8782
Te5 0.1766 0.6637 0.0751
Te6 0.2360 0.5350 0.4853
Te7 0.2401 0.7623 0.6420
Te8 0.2926 0.2022 0.9258
Te9 0.3203 0.8396 0.4581
Te10 0.3618 0.2057 0.4880
Te11 0.3886 0.4330 0.6409
Te12 0.4361 0.3142 0.3122
Mo1 0.0241 0.1172 0.9677
Mo2 0.4742 0.6158 0.5321
Br1 0.0254 0.8445 0.4161
Br2 0.1209 0.4074 0.2960
Br3 0.2479 0.6122 0.8366
Br4 0.3559 0.1145 0.6963
Br5 0.3673 0.6864 0.2145
Br6 0.4843 0.1374 0.0855
```

Principal peaks in the range 2θ from 5° to 70°, in order of rising 2θ:
hkl	d_spacing	two_theta	I/Imax
0 1 1	9.675	9.14	56
1 0 1	7.670	11.54	100
0 0 2	7.242	12.22	31
1 0 -1	7.149	12.38	32
1 1 -1	6.529	13.56	25
1 3 -1	3.639	24.46	39
0 3 2	3.609	24.67	38
3 2 3	2.640	33.96	57



Entry 2:
TeMo2Br: theoretical X-ray diffraction stick pattern (Cu Kα, 1.54184 Å), based on a GGA-PBE-relaxed structure.

Structural model:
```
data_TeMo2Br
_chemical_formula_sum 'Te3 Mo6 Br3'
_cell_length_a 3.3080
_cell_length_b 3.3080
_cell_length_c 29.0750
_cell_angle_alpha 90.00
_cell_angle_beta 90.00
_cell_angle_gamma 120.00
_space_group_name_H-M_alt 'R 3 m'
_space_group_IT_number 160
_space_group_name_Hall 'R 3 -2"'
loop_
_atom_site_label
_atom_site_fract_x
_atom_site_fract_y
_atom_site_fract_z
Te1 0.0000 0.0000 0.0000
Mo1 0.0000 0.0000 0.4678
Mo2 0.0000 0.0000 0.7423
Br1 0.0000 0.0000 0.2040
```

Principal peaks in the range 2θ from 5° to 70°, in order of rising 2θ:
hkl	d_spacing	two_theta	I/Imax
0 0 3	9.692	9.12	56
1 0 4	2.665	33.63	100
1 0 7	2.358	38.16	30
0 1 8	2.250	40.08	29
0 1 11	1.943	46.76	34
0 0 15	1.938	46.87	14
1 1 0	1.654	55.56	28
0 2 4	1.405	66.53	13



Entry 3:
Tl3MoBr8: theoretical X-ray diffraction stick pattern (Cu Kα, 1.54184 Å), based on a GGA-PBE-relaxed structure.

Structural model:
```
data_Tl3MoBr8
_chemical_formula_sum 'Tl6 Mo2 Br16'
_cell_length_a 9.6178
_cell_length_b 9.6178
_cell_length_c 12.0002
_cell_angle_alpha 90.00
_cell_angle_beta 90.00
_cell_angle_gamma 120.00
_space_group_name_H-M_alt 'P 63 m c'
_space_group_IT_number 186
_space_group_name_Hall 'P 6c -2c'
loop_
_atom_site_label
_atom_site_fract_x
_atom_site_fract_y
_atom_site_fract_z
Tl1 0.1753 0.3507 0.0000
Mo1 0.3333 0.6667 0.3050
Br1 0.0000 0.0000 0.0993
Br2 0.0834 0.5417 0.1867
Br3 0.2095 0.4190 0.4303
Br4 0.3333 0.6667 0.8548
```

Principal peaks in the range 2θ from 5° to 70°, in order of rising 2θ:
hkl	d_spacing	two_theta	I/Imax
1 0 1	6.843	12.94	69
0 0 2	6.000	14.76	54
2 0 1	3.934	22.60	58
2 0 2	3.421	26.04	100
2 0 3	2.885	31.00	58
2 1 2	2.788	32.11	56
2 2 0	2.404	37.40	64
2 0 5	2.080	43.52	41



Entry 4:
Y2MoBr: theoretical X-ray diffraction stick pattern (Cu Kα, 1.54184 Å), based on a GGA-PBE-relaxed structure.

Structural model:
```
data_Y2MoBr
_chemical_formula_sum 'Y2 Mo1 Br1'
_cell_length_a 3.6083
_cell_length_b 3.4717
_cell_length_c 8.4459
_cell_angle_alpha 90.00
_cell_angle_beta 90.18
_cell_angle_gamma 90.00
_space_group_name_H-M_alt 'P 1 2/m 1'
_space_group_IT_number 10
loop_
_space_group_symop_operation_xyz
'x,y,z'
'-x,-y,-z'
'-x,y,-z'
'x,-y,z'
loop_
_atom_site_label
_atom_site_fract_x
_atom_site_fract_y
_atom_site_fract_z
Y1 0.0016 0.0000 0.2029
Mo1 0.5000 0.5000 0.0000
Br1 0.0000 0.5000 0.5000
```

Principal peaks in the range 2θ from 5° to 70°, in order of rising 2θ:
hkl	d_spacing	two_theta	I/Imax
0 0 1	8.446	10.47	35
1 0 0	3.608	24.67	28
1 0 1	3.318	26.87	26
0 1 2	2.682	33.41	100
1 1 0	2.502	35.90	29
1 1 -1	2.399	37.49	72
1 0 -3	2.223	40.58	27
1 0 3	2.216	40.71	27



Entry 5:
Y2MoBr: theoretical X-ray diffraction stick pattern (Cu Kα, 1.54184 Å), based on a GGA-PBE-relaxed structure.

Structural model:
```
data_Y2MoBr
_chemical_formula_sum 'Y4 Mo2 Br2'
_cell_length_a 6.3039
_cell_length_b 3.6161
_cell_length_c 9.0316
_cell_angle_alpha 90.00
_cell_angle_beta 103.28
_cell_angle_gamma 90.00
_space_group_name_H-M_alt 'C 1 2/m 1'
_space_group_IT_number 12
loop_
_space_group_symop_operation_xyz
'x,y,z'
'-x,-y,-z'
'-x,y,-z'
'x,-y,z'
'x+1/2,y+1/2,z'
'-x+1/2,-y+1/2,-z'
'-x+1/2,y+1/2,-z'
'x+1/2,-y+1/2,z'
loop_
_atom_site_label
_atom_site_fract_x
_atom_site_fract_y
_atom_site_fract_z
Y1 0.2441 0.0000 0.2295
Mo1 0.0000 0.5000 0.0000
Br1 0.0000 0.0000 0.5000
```

Principal peaks in the range 2θ from 5° to 70°, in order of rising 2θ:
hkl	d_spacing	two_theta	I/Imax
1 1 1	2.836	31.55	100
2 0 2	2.282	39.50	17
1 1 -3	2.271	39.70	33
0 0 4	2.198	41.07	14
3 1 -1	1.817	50.22	18
0 2 0	1.808	50.48	9
2 2 -2	1.525	60.72	10
1 1 5	1.460	63.77	10



Entry 6:
ZnMoBr: theoretical X-ray diffraction stick pattern (Cu Kα, 1.54184 Å), based on a GGA-PBE-relaxed structure.

Structural model:
```
data_ZnMoBr
_chemical_formula_sum 'Zn2 Mo2 Br2'
_cell_length_a 3.2553
_cell_length_b 6.2980
_cell_length_c 6.9244
_cell_angle_alpha 82.22
_cell_angle_beta 76.70
_cell_angle_gamma 89.85
_space_group_name_H-M_alt 'P 1'
_space_group_IT_number 1
loop_
_space_group_symop_operation_xyz
'x,y,z'
loop_
_atom_site_label
_atom_site_fract_x
_atom_site_fract_y
_atom_site_fract_z
Zn1 0.0000 0.0000 0.0000
Zn2 0.3465 0.9637 0.3106
Mo1 0.1511 0.7194 0.7127
Mo2 0.6798 0.0007 0.6475
Br1 0.2446 0.3873 0.5301
Br2 0.9803 0.5395 0.0644
```

Principal peaks in the range 2θ from 5° to 70°, in order of rising 2θ:
hkl	d_spacing	two_theta	I/Imax
0 0 1	6.674	13.27	52
0 1 0	6.237	14.20	54
1 0 0	3.163	28.22	54
0 2 0	3.121	28.61	55
0 1 -2	2.788	32.11	48
1 -1 2	2.346	38.37	43
0 1 3	2.193	41.15	59
-1 2 1	2.095	43.17	100



Entry 7:
ZnMoBr: theoretical X-ray diffraction stick pattern (Cu Kα, 1.54184 Å), based on a GGA-PBE-relaxed structure.

Structural model:
```
data_ZnMoBr
_chemical_formula_sum 'Zn1 Mo1 Br1'
_cell_length_a 3.1710
_cell_length_b 3.1710
_cell_length_c 6.7621
_cell_angle_alpha 90.00
_cell_angle_beta 90.00
_cell_angle_gamma 120.00
_space_group_name_H-M_alt 'P 3 m 1'
_space_group_IT_number 156
loop_
_space_group_symop_operation_xyz
'x,y,z'
'-y,x-y,z'
'-x+y,-x,z'
'-y,-x,z'
'-x+y,y,z'
'x,x-y,z'
loop_
_atom_site_label
_atom_site_fract_x
_atom_site_fract_y
_atom_site_fract_z
Zn1 0.0000 0.0000 0.0000
Mo1 0.6667 0.3333 0.7117
Br1 0.0000 0.0000 0.4431
```

Principal peaks in the range 2θ from 5° to 70°, in order of rising 2θ:
hkl	d_spacing	two_theta	I/Imax
0 0 1	6.762	13.09	38
1 0 0	2.746	32.61	43
1 0 1	2.544	35.28	50
0 0 3	2.254	40.00	14
1 0 2	2.132	42.40	100
0 1 3	1.742	52.52	10
0 0 4	1.691	54.26	8
1 1 0	1.585	58.19	27



Please write out number 5 again, unchanged.
Y2MoBr: theoretical X-ray diffraction stick pattern (Cu Kα, 1.54184 Å), based on a GGA-PBE-relaxed structure.

Structural model:
```
data_Y2MoBr
_chemical_formula_sum 'Y4 Mo2 Br2'
_cell_length_a 6.3039
_cell_length_b 3.6161
_cell_length_c 9.0316
_cell_angle_alpha 90.00
_cell_angle_beta 103.28
_cell_angle_gamma 90.00
_space_group_name_H-M_alt 'C 1 2/m 1'
_space_group_IT_number 12
loop_
_space_group_symop_operation_xyz
'x,y,z'
'-x,-y,-z'
'-x,y,-z'
'x,-y,z'
'x+1/2,y+1/2,z'
'-x+1/2,-y+1/2,-z'
'-x+1/2,y+1/2,-z'
'x+1/2,-y+1/2,z'
loop_
_atom_site_label
_atom_site_fract_x
_atom_site_fract_y
_atom_site_fract_z
Y1 0.2441 0.0000 0.2295
Mo1 0.0000 0.5000 0.0000
Br1 0.0000 0.0000 0.5000
```

Principal peaks in the range 2θ from 5° to 70°, in order of rising 2θ:
hkl	d_spacing	two_theta	I/Imax
1 1 1	2.836	31.55	100
2 0 2	2.282	39.50	17
1 1 -3	2.271	39.70	33
0 0 4	2.198	41.07	14
3 1 -1	1.817	50.22	18
0 2 0	1.808	50.48	9
2 2 -2	1.525	60.72	10
1 1 5	1.460	63.77	10